For Si2Ir3, a crystal structure in the Materials Project, relaxed with PBE gives the calculated powder XRD pattern in this record (Cu Kα (weighted mean of Kα1 and Kα2)).

Atomic structure:
Cell lengths 4.0351, 4.0351, 5.4466 Å; angles 90.00, 90.00, 120.00 degrees
Space group P-6m2 (No. 187)
Inequivalent atoms, fractional coordinates:
Si 0.0000 0.0000 0.0000 x1
Si 0.3333 0.6667 0.5000 x1
Ir 0.3333 0.6667 0.0000 x1
Ir 0.6667 0.3333 0.2668 x2

Largest 10 diffraction maxima, low angle first, 10 to 90 degrees two-theta:
16.27 deg, intensity 15, hkl 0 0 1; 25.49 deg, intensity 63, hkl 1 0 0; 30.39 deg, intensity 27, hkl 1 0 1; 42.06 deg, intensity 100, hkl 1 0 2; 44.93 deg, intensity 60, hkl 1 1 0; 52.36 deg, intensity 9, hkl 2 0 0; 63.23 deg, intensity 30, hkl 2 0 2; 80.89 deg, intensity 31, hkl 2 1 2; 82.88 deg, intensity 10, hkl 3 0 0; 86.16 deg, intensity 17, hkl 1 1 4